# 1
Diffraction record for Hf2Si3Ag2. The powder XRD pattern is computed, not measured: it uses a PBE-relaxed structure and Cu Kα (λ = 1.5418 Å).
No peak broadening, texture or thermal motion is included.

Top 10 peaks for 5° ≤ 2θ ≤ 70°, by intensity:
two_theta	Rel. int.
36.5	100
39.3	79
23.4	73
48.7	49
31.1	45
45.3	39
67.4	31
47.1	26
32.0	25
39.6	22

Atomic structure:
abc: 11.342 11.342 2.875
angles: 90.00 90.00 160.42
Positions (direct):
Hf (0.071, 0.929, 0.000)
Hf (0.929, 0.071, 0.000)
Si (0.366, 0.634, 0.500)
Si (0.500, 0.500, 0.500)
Si (0.634, 0.366, 0.500)
Ag (0.205, 0.795, 0.000)
Ag (0.795, 0.205, 0.000)

---

# 2
Diffraction record for Hf2Si3Ag2. The powder XRD pattern is computed, not measured: it uses a PBE-relaxed structure and Cu Kα (λ = 1.5418 Å).
No peak broadening, texture or thermal motion is included.

Top 10 peaks for 5° ≤ 2θ ≤ 70°, by intensity:
two_theta	Rel. int.
28.1	100
38.3	76
42.0	61
58.1	22
63.1	22
51.3	19
68.3	16
66.7	13
44.9	10
25.0	9

Atomic structure:
abc: 8.449 8.449 8.449
angles: 29.53 29.53 29.53
Positions (direct):
Hf (0.000, 0.000, 0.000)
Hf (0.498, 0.498, 0.498)
Si (0.390, 0.390, 0.390)
Si (0.620, 0.620, 0.620)
Si (0.863, 0.863, 0.863)
Ag (0.247, 0.247, 0.247)
Ag (0.750, 0.750, 0.750)

---

# 3
Diffraction record for HfTa2Ag. The powder XRD pattern is computed, not measured: it uses a PBE-relaxed structure and Cu Kα (λ = 1.5418 Å).
No peak broadening, texture or thermal motion is included.

Top 8 peaks for 5° ≤ 2θ ≤ 70°, by intensity:
two_theta	Rel. int.
38.1	100
68.9	35
55.0	17
23.1	2
45.0	1
26.7	1
60.4	1
62.2	1

Atomic structure:
abc: 4.722 4.722 4.722
angles: 60.00 60.00 60.00
Positions (direct):
Hf (0.000, 0.000, 0.000)
Ta (0.250, 0.250, 0.250)
Ta (0.500, 0.500, 0.500)
Ag (0.750, 0.750, 0.750)

---

# 4
Diffraction record for TbHfAg6. The powder XRD pattern is computed, not measured: it uses a PBE-relaxed structure and Cu Kα (λ = 1.5418 Å).
No peak broadening, texture or thermal motion is included.

Top 10 peaks for 5° ≤ 2θ ≤ 70°, by intensity:
two_theta	Rel. int.
38.9	100
40.0	50
36.5	42
34.2	27
67.2	19
50.8	17
62.8	16
68.0	10
35.4	9
60.3	9

Atomic structure:
abc: 4.929 6.138 5.067
angles: 90.00 90.00 90.00
Positions (direct):
Tb (0.000, 0.000, 0.000)
Hf (0.500, 0.500, 0.313)
Ag (0.000, 0.266, 0.494)
Ag (0.000, 0.500, 0.995)
Ag (0.000, 0.734, 0.494)
Ag (0.500, 0.000, 0.343)
Ag (0.500, 0.259, 0.818)
Ag (0.500, 0.741, 0.818)

---

# 5
Diffraction record for HfAg4Te4. The powder XRD pattern is computed, not measured: it uses a PBE-relaxed structure and Cu Kα (λ = 1.5418 Å).
No peak broadening, texture or thermal motion is included.

Top 10 peaks for 5° ≤ 2θ ≤ 70°, by intensity:
two_theta	Rel. int.
39.1	100
23.7	65
46.3	31
15.2	20
62.2	12
56.6	11
13.6	6
31.5	6
37.2	6
56.4	5

Atomic structure:
abc: 7.980 7.980 7.980
angles: 131.90 131.90 70.38
Positions (direct):
Hf (0.000, 0.000, 0.000)
Ag (0.000, 0.500, 0.500)
Ag (0.243, 0.243, 0.000)
Ag (0.500, 0.000, 0.500)
Ag (0.757, 0.757, 0.000)
Te (0.125, 0.629, 0.000)
Te (0.371, 0.371, 0.496)
Te (0.629, 0.125, 0.000)
Te (0.875, 0.875, 0.504)

---

# 6
Diffraction record for Hf2AgTe. The powder XRD pattern is computed, not measured: it uses a PBE-relaxed structure and Cu Kα (λ = 1.5418 Å).
No peak broadening, texture or thermal motion is included.

Top 7 peaks for 5° ≤ 2θ ≤ 70°, by intensity:
two_theta	Rel. int.
35.9	100
64.5	36
51.7	18
21.8	4
42.4	3
56.7	1
69.0	1

Atomic structure:
abc: 5.003 5.003 5.003
angles: 60.00 60.00 60.00
Positions (direct):
Hf (0.000, 0.000, 0.000)
Hf (0.250, 0.250, 0.250)
Ag (0.750, 0.750, 0.750)
Te (0.500, 0.500, 0.500)